Simulated X-ray diffraction stick pattern
Compound: CeHIr
Radiation: Cu Kα, 1.54184 Å
Structure: a DFT-relaxed cell (PBE, Alexandria)
Neutral-atom scattering factors, no anomalous dispersion.

Structure:
```
6
Lattice="3.7732 0.0000 0.0000 0.0000 4.7734 0.0000 0.0000 0.0000 5.4855" Properties=species:S:1:pos:R:3 pbc="T T T"
Ce 0.0000 0.0000 0.0000
Ce 1.8866 2.3867 2.7427
H 0.0000 2.3867 0.0000
H 1.8866 0.0000 2.7427
Ir 0.0000 0.0000 2.7427
Ir 1.8866 2.3867 0.0000
```

Main lines, low angle first (2θ from 10° to 90°):
index	2θ (°)	I_rel
1 1 0	30.19	100
0 0 2	32.65	42
0 2 0	37.69	28
1 1 2	45.06	67
2 0 0	48.24	14
0 2 2	50.70	24
2 0 2	59.47	15
2 2 0	62.78	13
1 3 0	63.45	12
2 2 2	72.58	17
1 3 2	73.20	16
1 1 4	76.57	14

=====

Simulated X-ray diffraction stick pattern
Compound: Re2WSe5
Radiation: Cu Kα, 1.54184 Å
Structure: a DFT-relaxed cell (PBE, Alexandria)
Neutral-atom scattering factors, no anomalous dispersion.

Structure:
```
16
Lattice="11.9519 0.0000 0.0000 0.0000 7.2524 0.0000 -2.4741 0.0000 4.8876" Properties=species:S:1:pos:R:3 pbc="T T T"
Re 0.0000 0.0000 0.0000
Re -0.2101 3.6262 2.8851
Re 5.9759 3.6262 0.0000
Re 5.7658 0.0000 2.8851
W 1.2222 3.6262 0.5322
W 7.1981 0.0000 0.5322
Se 0.7804 1.5754 1.8632
Se 0.7804 5.6771 1.8632
Se 1.1836 3.6262 4.8704
Se 3.7983 1.5520 3.5853
Se 3.7983 5.7004 3.5853
Se 6.7564 2.0508 1.8632
Se 6.7564 5.2016 1.8632
Se 7.1596 0.0000 4.8704
Se 9.7742 2.0742 3.5853
Se 9.7742 5.1782 3.5853
```

Main lines, low angle first (2θ from 10° to 90°):
index	2θ (°)	I_rel
1 1 0	14.77	93
2 0 0	16.63	100
2 0 -1	18.26	27
1 1 -1	20.32	36
3 1 0	27.95	27
2 0 1	29.83	25
0 2 1	30.71	29
2 2 -2	41.31	50
1 1 2	43.39	27
5 1 -2	43.69	29
5 1 0	44.28	32
0 2 2	44.72	31